Record 1
# MnCu5Ni6
Computed powder X-ray diffraction pattern, Cu Kα X-rays. Input: a structure optimized by DFT (GGA-PBE).

Structure:
abc: 4.326 5.117 6.189
angles: 90.00 91.82 90.00
Fractional coordinates of all 12 atoms:
Mn 0.000 0.000 0.000
Cu 0.000 0.500 0.000
Cu 0.336 0.500 0.668
Cu 0.337 0.000 0.665
Cu 0.663 0.000 0.335
Cu 0.664 0.500 0.332
Ni 0.163 0.250 0.332
Ni 0.163 0.750 0.332
Ni 0.500 0.250 0.000
Ni 0.500 0.750 0.000
Ni 0.837 0.250 0.668
Ni 0.837 0.750 0.668

The 6 most intense peaks (10° ≤ 2θ ≤ 90°), low angle first:
| 2θ (°) | I (rel.) |
| --- | --- |
| 43.9 | 100 |
| 50.5 | 32 |
| 52.4 | 14 |
| 74.1 | 5 |
| 74.3 | 5 |
| 75.7 | 17 |

---

Record 2
# MnCu3Ni12
Computed powder X-ray diffraction pattern, Cu Kα X-rays. Input: a structure optimized by DFT (GGA-PBE).

Structure:
abc: 3.537 3.537 14.245
angles: 90.00 90.00 90.00
Fractional coordinates of all 16 atoms:
Mn 0.000 0.000 0.000
Cu 0.000 0.000 0.251
Cu 0.000 0.000 0.500
Cu 0.000 0.000 0.749
Ni 0.000 0.500 0.126
Ni 0.000 0.500 0.376
Ni 0.000 0.500 0.624
Ni 0.000 0.500 0.874
Ni 0.500 0.000 0.126
Ni 0.500 0.000 0.376
Ni 0.500 0.000 0.624
Ni 0.500 0.000 0.874
Ni 0.500 0.500 0.000
Ni 0.500 0.500 0.250
Ni 0.500 0.500 0.500
Ni 0.500 0.500 0.750

The 5 most intense peaks (10° ≤ 2θ ≤ 90°), low angle first:
| 2θ (°) | I (rel.) |
| --- | --- |
| 44.3 | 100 |
| 51.3 | 16 |
| 51.7 | 31 |
| 75.8 | 18 |
| 76.1 | 9 |

---

Record 3
# MnCu4Ni3
Computed powder X-ray diffraction pattern, Cu Kα X-rays. Input: a structure optimized by DFT (GGA-PBE).

Structure:
abc: 8.608 8.608 4.322
angles: 103.51 103.51 17.47
Fractional coordinates of all 8 atoms:
Mn 0.000 0.000 0.000
Cu 0.125 0.125 0.483
Cu 0.249 0.249 0.247
Cu 0.751 0.751 0.753
Cu 0.875 0.875 0.517
Ni 0.377 0.377 0.022
Ni 0.500 0.500 0.500
Ni 0.623 0.623 0.978

The 6 most intense peaks (10° ≤ 2θ ≤ 90°), low angle first:
| 2θ (°) | I (rel.) |
| --- | --- |
| 41.8 | 54 |
| 43.8 | 90 |
| 45.9 | 98 |
| 46.3 | 100 |
| 47.1 | 28 |
| 75.3 | 29 |

---

Record 4
# MnCuNi5
Computed powder X-ray diffraction pattern, Cu Kα X-rays. Input: a structure optimized by DFT (GGA-PBE).

Structure:
abc: 6.070 6.070 6.070
angles: 108.63 104.16 115.84
Fractional coordinates of all 14 atoms:
Mn 0.500 0.000 0.000
Mn 0.500 0.500 0.500
Cu 0.203 0.453 0.750
Cu 0.797 0.547 0.250
Ni 0.000 0.249 0.249
Ni 0.000 0.751 0.751
Ni 0.212 0.962 0.250
Ni 0.272 0.250 0.022
Ni 0.272 0.750 0.522
Ni 0.500 0.249 0.749
Ni 0.500 0.751 0.251
Ni 0.728 0.250 0.478
Ni 0.728 0.750 0.978
Ni 0.788 0.038 0.750

The 6 most intense peaks (10° ≤ 2θ ≤ 90°), low angle first:
| 2θ (°) | I (rel.) |
| --- | --- |
| 45.1 | 100 |
| 48.8 | 20 |
| 51.6 | 18 |
| 57.1 | 10 |
| 73.8 | 10 |
| 88.7 | 10 |

---

Record 5
# MnCu2NiS4
Computed powder X-ray diffraction pattern, Cu Kα X-rays. Input: a structure optimized by DFT (GGA-PBE).

Structure:
abc: 5.520 5.520 5.520
angles: 107.07 107.07 114.38
Fractional coordinates of all 8 atoms:
Mn 0.000 0.000 0.000
Cu 0.250 0.750 0.500
Cu 0.750 0.250 0.500
Ni 0.500 0.500 0.000
S 0.074 0.074 0.640
S 0.435 0.435 0.360
S 0.565 0.926 0.000
S 0.926 0.565 0.000

The 6 most intense peaks (10° ≤ 2θ ≤ 90°), low angle first:
| 2θ (°) | I (rel.) |
| --- | --- |
| 27.2 | 55 |
| 34.0 | 35 |
| 35.7 | 100 |
| 38.8 | 69 |
| 53.8 | 100 |
| 63.4 | 23 |

---

Record 6
# MnCuNiSe4
Computed powder X-ray diffraction pattern, Cu Kα X-rays. Input: a structure optimized by DFT (GGA-PBE).

Structure:
abc: 7.236 7.236 7.236
angles: 120.55 119.15 90.26
Fractional coordinates of all 14 atoms:
Mn 0.500 0.000 0.000
Mn 0.500 0.500 0.500
Cu 0.125 0.375 0.750
Cu 0.875 0.625 0.250
Ni 0.000 0.000 0.000
Ni 0.500 0.000 0.500
Se 0.256 0.239 0.018
Se 0.260 0.236 0.476
Se 0.260 0.783 0.024
Se 0.279 0.761 0.518
Se 0.721 0.239 0.482
Se 0.740 0.217 0.976
Se 0.740 0.764 0.524
Se 0.744 0.761 0.982

The 6 most intense peaks (10° ≤ 2θ ≤ 90°), low angle first:
| 2θ (°) | I (rel.) |
| --- | --- |
| 30.0 | 34 |
| 30.5 | 31 |
| 35.0 | 80 |
| 35.2 | 39 |
| 46.2 | 39 |
| 50.5 | 100 |